1.
HRuN2Cl4: simulated XRD peak list (copper Kα), based on the PBE geometry in Alexandria.

Most intense lines, 5 to 70 degrees two-theta, by angle:
(0 0 1), 2θ 11.37, d 7.785, rel. 100
(1 1 0), 2θ 13.26, d 6.675, rel. 89
(1 1 -1), 2θ 15.41, d 5.752, rel. 23
(4 0 -1), 2θ 22.15, d 4.014, rel. 46
(4 0 -2), 2θ 24.63, d 3.614, rel. 43
(0 2 2), 2θ 32.99, d 2.715, rel. 32

Cell and atoms:
a = 16.063 Å, b = 7.577 Å, c = 8.866 Å
α = 90.00°, β = 118.60°, γ = 90.00°
Space group C2/m (No. 12)
Symmetry-distinct sites (fractional):
H: 0.200 0.000 0.433 x4
Ru: 0.102 0.000 0.461 x4
N: 0.000 0.000 0.500 x2
N: 0.000 0.500 0.500 x2
N: 0.184 0.000 0.026 x4
Cl: 0.053 0.212 0.251 x8
Cl: 0.191 0.211 0.660 x8

***

2.
ScH3NCl3: simulated XRD peak list (copper Kα), based on the PBE geometry in Alexandria.

Most intense lines, 5 to 70 degrees two-theta, by angle:
(0 1 1), 2θ 12.09, d 7.318, rel. 84
(1 0 1), 2θ 14.53, d 6.098, rel. 100
(1 -1 0), 2θ 16.72, d 5.303, rel. 41
(-2 1 1), 2θ 30.75, d 2.907, rel. 61
(2 2 2), 2θ 31.12, d 2.874, rel. 74
(0 2 -2), 2θ 31.88, d 2.807, rel. 80

Cell and atoms:
a = 7.196 Å, b = 9.353 Å, c = 9.423 Å
α = 73.67°, β = 77.05°, γ = 82.02°
Space group P-1 (No. 2)
Symmetry-distinct sites (fractional):
Sc: 0.080 0.195 0.439 x2
Sc: 0.398 0.308 0.051 x2
H: 0.199 0.763 0.008 x2
H: 0.246 0.415 0.511 x2
H: 0.248 0.266 0.655 x2
H: 0.280 0.764 0.158 x2
H: 0.300 0.909 0.010 x2
H: 0.414 0.277 0.501 x2
N: 0.271 0.300 0.539 x2
N: 0.310 0.794 0.042 x2
Cl: 0.094 0.406 0.205 x2
Cl: 0.101 0.965 0.653 x2
Cl: 0.200 0.687 0.434 x2
Cl: 0.243 0.183 0.928 x2
Cl: 0.395 0.100 0.289 x2
Cl: 0.415 0.542 0.841 x2

***

3.
ScH6N2Cl3: simulated XRD peak list (copper Kα), based on the PBE geometry in Alexandria.

Most intense lines, 5 to 70 degrees two-theta, by angle:
(1 1 1), 2θ 15.13, d 5.858, rel. 80
(1 0 -1), 2θ 15.28, d 5.798, rel. 71
(0 0 2), 2θ 16.60, d 5.341, rel. 97
(0 3 2), 2θ 29.10, d 3.069, rel. 64
(2 -1 0), 2θ 31.92, d 2.804, rel. 82
(0 1 4), 2θ 32.07, d 2.791, rel. 100

Cell and atoms:
a = 6.958 Å, b = 10.155 Å, c = 11.166 Å
α = 73.75°, β = 88.93°, γ = 70.93°
Space group P-1 (No. 2)
Symmetry-distinct sites (fractional):
Sc: 0.110 0.227 0.198 x2
Sc: 0.353 0.815 0.299 x2
H: 0.212 0.472 0.203 x2
H: 0.221 0.467 0.057 x2
H: 0.229 0.302 0.605 x2
H: 0.231 0.287 0.755 x2
H: 0.244 0.791 0.063 x2
H: 0.267 0.779 0.553 x2
H: 0.279 0.425 0.657 x2
H: 0.283 0.947 0.039 x2
H: 0.284 0.943 0.496 x2
H: 0.413 0.364 0.161 x2
H: 0.480 0.798 0.055 x2
H: 0.493 0.801 0.544 x2
N: 0.257 0.403 0.148 x2
N: 0.305 0.315 0.676 x2
N: 0.341 0.838 0.088 x2
N: 0.351 0.836 0.498 x2
Cl: 0.002 0.000 0.258 x2
Cl: 0.126 0.224 0.976 x2
Cl: 0.140 0.223 0.419 x2
Cl: 0.237 0.604 0.835 x2
Cl: 0.265 0.600 0.357 x2
Cl: 0.474 0.036 0.239 x2

***

4.
SnH4NCl3: simulated XRD peak list (copper Kα), based on the PBE geometry in Alexandria.

Most intense lines, 5 to 70 degrees two-theta, by angle:
(1 0 -1), 2θ 13.84, d 6.397, rel. 100
(1 0 1), 2θ 14.00, d 6.328, rel. 94
(0 0 2), 2θ 14.21, d 6.231, rel. 95
(2 0 0), 2θ 24.07, d 3.697, rel. 48
(1 2 2), 2θ 28.16, d 3.169, rel. 51
(0 2 -3), 2θ 30.03, d 2.976, rel. 48

Cell and atoms:
a = 7.399 Å, b = 8.531 Å, c = 12.463 Å
α = 90.09°, β = 90.71°, γ = 90.03°
Space group P1 (No. 1)
Symmetry-distinct sites (fractional):
Sn: 0.000 0.000 0.000 x1
Sn: 0.004 0.501 0.998 x1
Sn: 0.502 0.687 0.512 x1
Sn: 0.515 0.187 0.485 x1
H: 0.062 0.943 0.707 x1
H: 0.075 0.115 0.640 x1
H: 0.078 0.945 0.571 x1
H: 0.133 0.504 0.363 x1
H: 0.374 0.745 0.178 x1
H: 0.437 0.307 0.766 x1
H: 0.440 0.229 0.893 x1
H: 0.467 0.908 0.129 x1
H: 0.539 0.406 0.871 x1
H: 0.566 0.732 0.106 x1
H: 0.572 0.810 0.233 x1
H: 0.635 0.244 0.823 x1
H: 0.883 0.005 0.633 x1
H: 0.938 0.446 0.426 x1
H: 0.943 0.615 0.357 x1
H: 0.952 0.443 0.290 x1
N: 0.024 0.002 0.637 x1
N: 0.497 0.799 0.162 x1
N: 0.511 0.296 0.837 x1
N: 0.992 0.502 0.360 x1
Cl: 0.068 0.716 0.148 x1
Cl: 0.122 0.812 0.855 x1
Cl: 0.242 0.859 0.438 x1
Cl: 0.285 0.323 0.611 x1
Cl: 0.322 0.106 0.037 x1
Cl: 0.431 0.492 0.350 x1
Cl: 0.585 0.993 0.647 x1
Cl: 0.683 0.607 0.962 x1
Cl: 0.730 0.823 0.386 x1
Cl: 0.774 0.360 0.560 x1
Cl: 0.884 0.313 0.142 x1
Cl: 0.940 0.216 0.850 x1

***

5.
SnH4NCl3: simulated XRD peak list (copper Kα), based on the PBE geometry in Alexandria.

Most intense lines, 5 to 70 degrees two-theta, by angle:
(0 1 0), 2θ 12.69, d 6.975, rel. 100
(0 0 2), 2θ 16.38, d 5.410, rel. 62
(1 0 0), 2θ 19.64, d 4.519, rel. 43
(1 1 0), 2θ 19.85, d 4.473, rel. 44
(0 1 -2), 2θ 20.78, d 4.275, rel. 63
(1 -1 1), 2θ 27.84, d 3.205, rel. 38

Cell and atoms:
a = 4.750 Å, b = 7.332 Å, c = 10.820 Å
α = 89.94°, β = 89.53°, γ = 72.06°
Space group P1 (No. 1)
Symmetry-distinct sites (fractional):
Sn: 0.000 0.000 0.000 x1
Sn: 0.100 0.980 0.501 x1
H: 0.190 0.364 0.214 x1
H: 0.200 0.532 0.319 x1
H: 0.342 0.541 0.174 x1
H: 0.518 0.361 0.270 x1
H: 0.583 0.617 0.773 x1
H: 0.757 0.437 0.676 x1
H: 0.902 0.446 0.819 x1
H: 0.909 0.614 0.713 x1
N: 0.312 0.451 0.244 x1
N: 0.788 0.527 0.746 x1
Cl: 0.139 0.845 0.738 x1
Cl: 0.241 0.262 0.945 x1
Cl: 0.490 0.739 0.051 x1
Cl: 0.609 0.240 0.554 x1
Cl: 0.861 0.717 0.447 x1
Cl: 0.961 0.135 0.238 x1

***

6.
SrH4NCl3: simulated XRD peak list (copper Kα), based on the PBE geometry in Alexandria.

Most intense lines, 5 to 70 degrees two-theta, by angle:
(0 0 2), 2θ 10.19, d 8.685, rel. 41
(1 0 1), 2θ 10.86, d 8.148, rel. 57
(1 0 2), 2θ 14.00, d 6.324, rel. 100
(2 1 0), 2θ 27.55, d 3.238, rel. 65
(2 1 1), 2θ 28.03, d 3.183, rel. 51
(3 1 4), 2θ 41.08, d 2.197, rel. 51

Cell and atoms:
a = 9.226 Å, b = 4.547 Å, c = 17.370 Å
α = 90.00°, β = 90.00°, γ = 90.00°
Space group Pnma (No. 62)
Symmetry-distinct sites (fractional):
Sr: 0.170 0.250 0.068 x4
H: 0.026 0.250 0.659 x4
H: 0.076 0.250 0.752 x4
H: 0.076 0.565 0.273 x8
N: 0.012 0.750 0.285 x4
Cl: 0.038 0.250 0.913 x4
Cl: 0.140 0.250 0.548 x4
Cl: 0.230 0.250 0.230 x4

***

7.
Ta2H15N6Cl7: simulated XRD peak list (copper Kα), based on the PBE geometry in Alexandria.

Most intense lines, 5 to 70 degrees two-theta, by angle:
(1 1 0), 2θ 9.01, d 9.819, rel. 100
(1 1 1), 2θ 14.40, d 6.150, rel. 54
(2 0 0), 2θ 15.56, d 5.693, rel. 30
(0 2 2), 2θ 24.28, d 3.666, rel. 35
(0 6 0), 2θ 27.59, d 3.233, rel. 45
(4 0 0), 2θ 31.43, d 2.847, rel. 17

Cell and atoms:
a = 11.387 Å, b = 19.391 Å, c = 7.906 Å
α = 90.00°, β = 90.00°, γ = 90.00°
Space group Cmcm (No. 63)
Symmetry-distinct sites (fractional):
Ta: 0.000 0.000 0.000 x4
Ta: 0.000 0.172 0.250 x4
H: 0.000 0.082 0.750 x4
H: 0.000 0.136 0.537 x8
H: 0.000 0.428 0.645 x8
H: 0.074 0.366 0.750 x8
H: 0.139 0.386 0.250 x8
H: 0.216 0.098 0.750 x8
H: 0.233 0.331 0.144 x16
N: 0.000 0.030 0.750 x4
N: 0.000 0.104 0.068 x8
N: 0.000 0.396 0.750 x4
N: 0.224 0.362 0.250 x8
Cl: 0.000 0.266 0.027 x8
Cl: 0.000 0.444 0.250 x4
Cl: 0.214 0.000 0.000 x8
Cl: 0.215 0.185 0.250 x8

***

8.
TlH2NCl2: simulated XRD peak list (copper Kα), based on the PBE geometry in Alexandria.

Most intense lines, 5 to 70 degrees two-theta, by angle:
(1 0 1), 2θ 12.40, d 7.140, rel. 100
(2 1 1), 2θ 24.10, d 3.692, rel. 57
(2 0 2), 2θ 24.94, d 3.570, rel. 59
(0 0 4), 2θ 28.06, d 3.180, rel. 45
(2 2 0), 2θ 29.28, d 3.050, rel. 82
(2 2 4), 2θ 41.00, d 2.201, rel. 62

Cell and atoms:
a = 8.628 Å, b = 8.628 Å, c = 12.720 Å
α = 90.00°, β = 90.00°, γ = 90.00°
Space group I4_1/amd (No. 141, origin choice 2)
Symmetry-distinct sites (fractional):
Tl: 0.000 0.000 0.000 x8
H: 0.000 0.009 0.418 x16
N: 0.000 0.000 0.500 x8
Cl: 0.000 0.019 0.254 x16